Entry 1:
Simulated X-ray powder pattern of SmDy7Ho3 for Cu Kα, from the PBE geometry in Alexandria.

Top 10 peaks for 2θ from 5° to 70°, in order of falling intensity:
| 2θ/deg | d/Å | I (rel.) |
| --- | --- | --- |
| 31.1 | 2.872 | 100 |
| 36.2 | 2.484 | 67 |
| 31.3 | 2.856 | 33 |
| 61.9 | 1.498 | 28 |
| 52.0 | 1.760 | 24 |
| 52.2 | 1.753 | 24 |
| 61.8 | 1.501 | 14 |
| 62.1 | 1.494 | 14 |
| 64.9 | 1.436 | 12 |
| 17.9 | 4.968 | 6 |

Atomic structure:
Cell lengths 7.0397, 7.0397, 8.5691 Å; angles 90.00, 90.00, 120.00 degrees
Sites, in units of the cell vectors:
Sm: 0.0000 0.0000 0.0000
Dy: 0.0025 0.5013 0.9961
Dy: 0.3309 0.1655 0.3300
Dy: 0.3333 0.6667 0.3259
Dy: 0.4987 0.5013 0.9961
Dy: 0.4987 0.9975 0.9961
Dy: 0.8345 0.1655 0.3300
Dy: 0.8345 0.6691 0.3300
Ho: 0.1670 0.3340 0.6619
Ho: 0.1670 0.8330 0.6619
Ho: 0.6660 0.8330 0.6619

---

Entry 2:
Simulated X-ray powder pattern of SmDy6Ho8 for Cu Kα, from the PBE geometry in Alexandria.

Top 10 peaks for 2θ from 5° to 70°, in order of falling intensity:
| 2θ/deg | d/Å | I (rel.) |
| --- | --- | --- |
| 31.6 | 2.827 | 100 |
| 32.7 | 2.739 | 29 |
| 30.7 | 2.915 | 18 |
| 37.0 | 2.427 | 14 |
| 35.2 | 2.553 | 12 |
| 53.5 | 1.712 | 12 |
| 60.7 | 1.525 | 11 |
| 55.7 | 1.650 | 10 |
| 32.9 | 2.719 | 8 |
| 53.9 | 1.700 | 6 |

Atomic structure:
Cell lengths 8.5785, 8.5785, 8.5785 Å; angles 63.25, 63.25, 63.25 degrees
Sites, in units of the cell vectors:
Sm: 0.0000 0.0000 0.0000
Dy: 0.1087 0.2295 0.5389
Dy: 0.2295 0.5389 0.1087
Dy: 0.4611 0.8913 0.7705
Dy: 0.5389 0.1087 0.2295
Dy: 0.7705 0.4611 0.8913
Dy: 0.8913 0.7705 0.4611
Ho: 0.1105 0.7434 0.7208
Ho: 0.2566 0.2792 0.8895
Ho: 0.2792 0.8895 0.2566
Ho: 0.4235 0.4235 0.4235
Ho: 0.5765 0.5765 0.5765
Ho: 0.7208 0.1105 0.7434
Ho: 0.7434 0.7208 0.1105
Ho: 0.8895 0.2566 0.2792

---

Entry 3:
Simulated X-ray powder pattern of Sm6Dy7Ho16 for Cu Kα, from the PBE geometry in Alexandria.

Top 10 peaks for 2θ from 5° to 70°, in order of falling intensity:
| 2θ/deg | d/Å | I (rel.) |
| --- | --- | --- |
| 32.2 | 2.778 | 100 |
| 57.5 | 1.604 | 25 |
| 29.5 | 3.024 | 14 |
| 46.2 | 1.964 | 13 |
| 44.3 | 2.046 | 7 |
| 61.0 | 1.519 | 7 |
| 67.4 | 1.389 | 7 |
| 27.8 | 3.208 | 6 |
| 33.7 | 2.656 | 6 |
| 34.2 | 2.619 | 5 |

Atomic structure:
Cell lengths 11.1114, 11.1114, 11.1114 Å; angles 60.00, 60.00, 60.00 degrees
Sites, in units of the cell vectors:
Sm: 0.2250 0.2250 0.7750
Sm: 0.2250 0.7750 0.2250
Sm: 0.2250 0.7750 0.7750
Sm: 0.7750 0.2250 0.2250
Sm: 0.7750 0.2250 0.7750
Sm: 0.7750 0.7750 0.2250
Dy: 0.0000 0.0000 0.5000
Dy: 0.0000 0.5000 0.0000
Dy: 0.0000 0.5000 0.5000
Dy: 0.5000 0.0000 0.0000
Dy: 0.5000 0.0000 0.5000
Dy: 0.5000 0.5000 0.0000
Dy: 0.5000 0.5000 0.5000
Ho: 0.1249 0.6250 0.6250
Ho: 0.1514 0.1514 0.1514
Ho: 0.1514 0.1514 0.5459
Ho: 0.1514 0.5459 0.1514
Ho: 0.3750 0.3750 0.3750
Ho: 0.3750 0.3750 0.8751
Ho: 0.3750 0.8751 0.3750
Ho: 0.4541 0.8486 0.8486
Ho: 0.5459 0.1514 0.1514
Ho: 0.6250 0.1249 0.6250
Ho: 0.6250 0.6250 0.1249
Ho: 0.6250 0.6250 0.6250
Ho: 0.8486 0.4541 0.8486
Ho: 0.8486 0.8486 0.4541
Ho: 0.8486 0.8486 0.8486
Ho: 0.8751 0.3750 0.3750

---

Entry 4:
Simulated X-ray powder pattern of Sm5Dy3Ho4 for Cu Kα, from the PBE geometry in Alexandria.

Top 8 peaks for 2θ from 5° to 70°, in order of falling intensity:
| 2θ/deg | d/Å | I (rel.) |
| --- | --- | --- |
| 30.7 | 2.914 | 100 |
| 35.6 | 2.524 | 51 |
| 60.8 | 1.523 | 29 |
| 51.2 | 1.785 | 24 |
| 60.9 | 1.520 | 14 |
| 51.2 | 1.783 | 12 |
| 63.9 | 1.458 | 6 |
| 63.9 | 1.456 | 6 |

Atomic structure:
Cell lengths 6.1826, 7.1411, 8.7389 Å; angles 90.07, 90.09, 90.12 degrees
Sites, in units of the cell vectors:
Sm: 0.0000 0.0000 0.0000
Sm: 0.3321 0.5002 0.3347
Sm: 0.5002 0.2492 0.0000
Sm: 0.4998 0.7508 0.0000
Sm: 0.6679 0.4998 0.6653
Dy: 0.0000 0.5000 0.0000
Dy: 0.1664 0.2488 0.6654
Dy: 0.8336 0.7512 0.3346
Ho: 0.1664 0.7509 0.6653
Ho: 0.3340 0.0001 0.3352
Ho: 0.6660 0.9999 0.6648
Ho: 0.8336 0.2491 0.3347

---

Please write out number 1 again, unchanged.
Simulated X-ray powder pattern of SmDy7Ho3 for Cu Kα, from the PBE geometry in Alexandria.

Top 10 peaks for 2θ from 5° to 70°, in order of falling intensity:
| 2θ/deg | d/Å | I (rel.) |
| --- | --- | --- |
| 31.1 | 2.872 | 100 |
| 36.2 | 2.484 | 67 |
| 31.3 | 2.856 | 33 |
| 61.9 | 1.498 | 28 |
| 52.0 | 1.760 | 24 |
| 52.2 | 1.753 | 24 |
| 61.8 | 1.501 | 14 |
| 62.1 | 1.494 | 14 |
| 64.9 | 1.436 | 12 |
| 17.9 | 4.968 | 6 |

Atomic structure:
Cell lengths 7.0397, 7.0397, 8.5691 Å; angles 90.00, 90.00, 120.00 degrees
Sites, in units of the cell vectors:
Sm: 0.0000 0.0000 0.0000
Dy: 0.0025 0.5013 0.9961
Dy: 0.3309 0.1655 0.3300
Dy: 0.3333 0.6667 0.3259
Dy: 0.4987 0.5013 0.9961
Dy: 0.4987 0.9975 0.9961
Dy: 0.8345 0.1655 0.3300
Dy: 0.8345 0.6691 0.3300
Ho: 0.1670 0.3340 0.6619
Ho: 0.1670 0.8330 0.6619
Ho: 0.6660 0.8330 0.6619